Entry 1:
LaY2PaP4: theoretical powder X-ray diffraction pattern (Cu Kα), based on a crystal structure in Alexandria, relaxed with PBE.

Top 10 peaks for 2θ from 10° to 80°, in order of rising 2θ:
(hkl)  d_spacing  I/Imax
1 0 1  5.133  24
1 1 2  3.313  76
2 0 0  2.870  100
2 1 1  2.505  9
2 2 0  2.029  73
1 1 6  1.730  37
2 2 4  1.657  25
4 0 0  1.435  12
3 1 6  1.317  15
4 2 0  1.283  32

Structure:
Cell: 5.739 5.739 11.480 Å, 90.00 90.00 90.00°
Space group I-4m2 (No. 119)
Symmetry-distinct sites (fractional):
La  0.000  0.000  0.000 (multiplicity 2)
Y  0.000  0.000  0.500 (multiplicity 2)
Y  0.000  0.500  0.250 (multiplicity 2)
Pa  0.000  0.500  0.750 (multiplicity 2)
P  0.000  0.000  0.255 (multiplicity 4)
P  0.000  0.500  0.508 (multiplicity 4)


Entry 2:
LaPPb2: theoretical powder X-ray diffraction pattern (Cu Kα), based on a crystal structure in Alexandria, relaxed with PBE.

Top 10 peaks for 2θ from 10° to 80°, in order of rising 2θ:
(hkl)  d_spacing  I/Imax
0 0 1  5.416  21
1 1 0  3.162  13
1 1 1  2.731  100
0 0 2  2.708  24
2 0 0  2.236  29
2 0 2  1.724  26
2 2 0  1.581  10
1 1 3  1.568  19
3 1 1  1.368  24
2 2 2  1.365  12

Structure:
Cell: 4.471 4.471 5.416 Å, 90.00 90.00 90.00°
Space group P4/mmm (No. 123)
Symmetry-distinct sites (fractional):
La  0.000  0.000  0.000 (multiplicity 1)
P  0.500  0.500  0.000 (multiplicity 1)
Pb  0.000  0.500  0.500 (multiplicity 2)


Entry 3:
LaPPb: theoretical powder X-ray diffraction pattern (Cu Kα), based on a crystal structure in Alexandria, relaxed with PBE.

Top 10 peaks for 2θ from 10° to 80°, in order of rising 2θ:
(hkl)  d_spacing  I/Imax
0 0 3  7.705  58
1 0 4  3.574  79
0 1 5  3.242  36
1 0 7  2.672  38
1 1 0  2.626  100
0 0 9  2.568  25
1 1 3  2.486  26
0 2 4  2.116  20
1 1 9  1.836  55
3 0 0  1.516  19

Structure:
Cell: 5.2526 5.2526 23.1155 Å, 90.00 90.00 120.00°
Space group R-3m (No. 166, hexagonal axes)
Symmetry-distinct sites (fractional):
La  0.0000  0.0000  0.1006 (multiplicity 6)
P  0.0000  0.0000  0.2227 (multiplicity 6)
Pb  0.0000  0.0000  0.3411 (multiplicity 6)


Entry 4:
La4PPb2: theoretical powder X-ray diffraction pattern (Cu Kα), based on a crystal structure in Alexandria, relaxed with PBE.

Top 10 peaks for 2θ from 10° to 80°, in order of rising 2θ:
(hkl)  d_spacing  I/Imax
1 1 1  3.470  49
1 1 -2  3.254  100
3 1 -1  3.077  57
3 1 -2  2.924  36
3 1 0  2.812  93
4 0 0  2.638  89
0 0 3  2.626  50
3 1 -3  2.496  56
0 2 0  2.340  59
7 1 -3  1.640  35

Structure:
Cell: 12.287 4.681 9.173 Å, 90.00 120.82 90.00°
Space group C2/m (No. 12)
Symmetry-distinct sites (fractional):
La  0.079  0.000  0.356 (multiplicity 4)
La  0.167  0.500  0.067 (multiplicity 4)
P  0.000  0.000  0.000 (multiplicity 2)
Pb  0.139  0.500  0.662 (multiplicity 4)


Entry 5:
LaPPb2: theoretical powder X-ray diffraction pattern (Cu Kα), based on a crystal structure in Alexandria, relaxed with PBE.

Top 10 peaks for 2θ from 10° to 80°, in order of rising 2θ:
(hkl)  d_spacing  I/Imax
2 0 0  4.521  20
2 1 1  3.339  72
2 2 0  3.197  63
1 1 2  2.685  100
3 2 1  2.309  21
3 1 2  2.056  50
5 1 0  1.773  17
4 3 1  1.729  32
5 2 1  1.615  16
3 2 3  1.550  18

Structure:
Cell: 9.042 9.042 5.917 Å, 90.00 90.00 90.00°
Space group I-42d (No. 122)
Symmetry-distinct sites (fractional):
La  0.000  0.000  0.000 (multiplicity 4)
P  0.000  0.000  0.500 (multiplicity 4)
Pb  0.182  0.250  0.625 (multiplicity 8)


Entry 6:
La6P4Pb: theoretical powder X-ray diffraction pattern (Cu Kα), based on a crystal structure in Alexandria, relaxed with PBE.

Top 10 peaks for 2θ from 10° to 80°, in order of rising 2θ:
(hkl)  d_spacing  I/Imax
1 1 4  3.289  55
0 2 6  3.253  81
1 3 1  3.138  28
1 3 2  3.047  100
1 3 3  2.910  25
1 5 4  2.168  21
2 0 0  2.145  28
0 6 5  2.077  26
1 3 10  1.807  29
2 2 6  1.790  40

Structure:
Cell: 4.290 14.121 21.994 Å, 90.00 90.00 90.00°
Space group Cmcm (No. 63)
Symmetry-distinct sites (fractional):
La  0.000  0.000  0.000 (multiplicity 4)
La  0.000  0.160  0.250 (multiplicity 4)
La  0.000  0.273  0.581 (multiplicity 8)
La  0.000  0.458  0.157 (multiplicity 8)
P  0.000  0.091  0.124 (multiplicity 8)
P  0.000  0.362  0.041 (multiplicity 8)
Pb  0.000  0.163  0.750 (multiplicity 4)


Entry 7:
La3PmPPb2: theoretical powder X-ray diffraction pattern (Cu Kα), based on a crystal structure in Alexandria, relaxed with PBE.

Top 10 peaks for 2θ from 10° to 80°, in order of rising 2θ:
(hkl)  d_spacing  I/Imax
1 1 0  3.819  27
1 1 2  3.483  47
1 1 4  2.840  100
0 2 0  2.721  31
2 0 0  2.680  30
0 2 6  1.963  20
2 2 0  1.909  22
1 3 4  1.593  15
2 2 6  1.583  14
3 1 4  1.576  14

Structure:
Cell: 5.360 5.442 17.005 Å, 90.00 90.00 90.00°
Space group Immm (No. 71)
Symmetry-distinct sites (fractional):
La  0.000  0.000  0.000 (multiplicity 2)
La  0.000  0.500  0.170 (multiplicity 4)
Pm  0.000  0.000  0.500 (multiplicity 2)
P  0.000  0.500  0.000 (multiplicity 2)
Pb  0.000  0.500  0.366 (multiplicity 4)


Entry 8:
La2P2Pd5: theoretical powder X-ray diffraction pattern (Cu Kα), based on a crystal structure in Alexandria, relaxed with PBE.

Top 10 peaks for 2θ from 10° to 80°, in order of rising 2θ:
(hkl)  d_spacing  I/Imax
1 0 2  3.114  8
1 1 2  2.514  100
0 0 4  2.279  15
1 1 3  2.140  7
2 0 0  2.132  36
2 0 4  1.557  19
2 2 0  1.507  12
1 1 6  1.357  14
3 1 2  1.293  24
2 2 4  1.257  9

Structure:
Cell: 4.264 4.264 9.115 Å, 90.00 90.00 90.00°
Space group P4/mmm (No. 123)
Symmetry-distinct sites (fractional):
La  0.000  0.000  0.000 (multiplicity 1)
La  0.000  0.000  0.500 (multiplicity 1)
P  0.500  0.500  0.130 (multiplicity 2)
Pd  0.000  0.500  0.263 (multiplicity 4)
Pd  0.500  0.500  0.500 (multiplicity 1)


Entry 9:
La7P12Pd17: theoretical powder X-ray diffraction pattern (Cu Kα), based on a crystal structure in Alexandria, relaxed with PBE.

Top 10 peaks for 2θ from 10° to 80°, in order of rising 2θ:
(hkl)  d_spacing  I/Imax
5 1 1  2.818  54
7 1 -2  2.665  25
1 1 -4  2.590  100
7 1 -3  2.553  55
10 0 -1  2.415  21
7 1 1  2.376  26
9 1 -2  2.285  17
0 2 0  2.062  50
4 0 5  2.052  26
4 2 5  1.454  17

Structure:
Cell: 24.695 4.123 13.756 Å, 90.00 112.30 90.00°
Space group C2/m (No. 12)
Symmetry-distinct sites (fractional):
La  0.000  0.000  0.000 (multiplicity 2)
La  0.083  0.000  0.762 (multiplicity 4)
La  0.135  0.000  0.499 (multiplicity 4)
La  0.234  0.500  0.186 (multiplicity 4)
P  0.010  0.500  0.827 (multiplicity 4)
P  0.060  0.500  0.573 (multiplicity 4)
P  0.113  0.500  0.326 (multiplicity 4)
P  0.135  0.000  0.078 (multiplicity 4)
P  0.188  0.500  0.881 (multiplicity 4)
P  0.234  0.500  0.618 (multiplicity 4)
Pd  0.000  0.000  0.500 (multiplicity 2)
Pd  0.026  0.500  0.375 (multiplicity 4)
Pd  0.048  0.000  0.245 (multiplicity 4)
Pd  0.094  0.500  0.144 (multiplicity 4)
Pd  0.109  0.500  0.957 (multiplicity 4)
Pd  0.161  0.500  0.692 (multiplicity 4)
Pd  0.166  0.000  0.276 (multiplicity 4)
Pd  0.203  0.000  0.987 (multiplicity 4)
Pd  0.218  0.500  0.429 (multiplicity 4)


Entry 10:
LaP2Pd3: theoretical powder X-ray diffraction pattern (Cu Kα), based on a crystal structure in Alexandria, relaxed with PBE.

Top 10 peaks for 2θ from 10° to 80°, in order of rising 2θ:
(hkl)  d_spacing  I/Imax
0 0 3  3.145  12
3 1 1  2.865  30
4 0 2  2.623  11
1 1 -3  2.557  100
5 1 -2  2.460  19
5 1 1  2.257  20
6 0 -4  2.111  16
0 2 0  2.031  37
3 1 5  1.501  15
1 3 -3  1.253  10

Structure:
Cell: 16.437 4.064 9.946 Å, 90.00 108.51 90.00°
Space group C2/m (No. 12)
Symmetry-distinct sites (fractional):
La  0.000  0.000  0.000 (multiplicity 2)
La  0.153  0.000  0.701 (multiplicity 4)
P  0.035  0.500  0.783 (multiplicity 4)
P  0.134  0.500  0.449 (multiplicity 4)
P  0.202  0.000  0.129 (multiplicity 4)
Pd  0.000  0.500  0.500 (multiplicity 2)
Pd  0.047  0.000  0.335 (multiplicity 4)
Pd  0.132  0.500  0.210 (multiplicity 4)
Pd  0.177  0.500  0.966 (multiplicity 4)
Pd  0.227  0.000  0.393 (multiplicity 4)


Entry 11:
La2P7Pd12: theoretical powder X-ray diffraction pattern (Cu Kα), based on a crystal structure in Alexandria, relaxed with PBE.

Top 10 peaks for 2θ from 10° to 80°, in order of rising 2θ:
(hkl)  d_spacing  I/Imax
1 2 0  3.205  14
1 2 1  2.529  100
0 3 1  2.330  9
0 0 2  2.059  18
4 -3 1  2.042  10
2 3 0  1.945  11
4 1 0  1.850  16
6 -2 1  1.493  9
4 1 2  1.376  11
1 2 3  1.262  11

Structure:
Cell: 9.7901 9.7901 4.1180 Å, 90.00 90.00 120.00°
Space group P-3 (No. 147)
Symmetry-distinct sites (fractional):
La  0.3333  0.6667  0.2501 (multiplicity 2)
P  0.0000  0.0000  0.0000 (multiplicity 1)
P  0.1133  0.4090  0.7479 (multiplicity 6)
Pd  0.0586  0.6229  0.7525 (multiplicity 6)
Pd  0.1037  0.8565  0.2635 (multiplicity 6)


Entry 12:
La2P4Pd3Pt: theoretical powder X-ray diffraction pattern (Cu Kα), based on a crystal structure in Alexandria, relaxed with PBE.

Top 10 peaks for 2θ from 10° to 80°, in order of rising 2θ:
(hkl)  d_spacing  I/Imax
1 1 1  2.929  50
1 1 2  2.590  100
1 0 3  2.577  65
2 0 0  2.175  67
1 1 4  1.892  13
1 0 5  1.756  15
2 1 3  1.662  34
2 2 0  1.538  22
1 1 6  1.419  20
3 1 2  1.322  24

Structure:
Cell: 4.351 4.351 9.594 Å, 90.00 90.00 90.00°
Space group P-4m2 (No. 115)
Symmetry-distinct sites (fractional):
La  0.000  0.500  0.245 (multiplicity 2)
P  0.000  0.000  0.000 (multiplicity 1)
P  0.000  0.500  0.631 (multiplicity 2)
P  0.500  0.500  0.000 (multiplicity 1)
Pd  0.000  0.500  0.885 (multiplicity 2)
Pd  0.500  0.500  0.500 (multiplicity 1)
Pt  0.000  0.000  0.500 (multiplicity 1)


What is the formula in the second record?
LaPPb2


Number 6 is which compound?
La6P4Pb


Which formula does entry 9 have?
La7P12Pd17